No. 1
For CaAsHPd, a DFT-relaxed cell (PBE, Alexandria) gives the computed powder XRD pattern in this record (copper Kα).
Kinematic intensities with the Lorentz-polarization factor, no thermal factor.

Structural model:
```
data_CaAsHPd
_chemical_formula_sum 'Ca1 As1 H1 Pd1'
_cell_length_a 4.4183
_cell_length_b 4.4183
_cell_length_c 3.7732
_cell_angle_alpha 90.00
_cell_angle_beta 90.00
_cell_angle_gamma 120.00
_symmetry_space_group_name_H-M 'P -6 m 2'
_symmetry_Int_Tables_number 187
_symmetry_space_group_name_Hall 'P -6 2'
loop_
_atom_site_label
_atom_site_type_symbol
_atom_site_fract_x
_atom_site_fract_y
_atom_site_fract_z
Ca1 Ca 0.0000 0.0000 0.0000
As1 As 0.3333 0.6667 0.5000
H1 H 0.6667 0.3333 0.0000
Pd1 Pd 0.6667 0.3333 0.5000
```

Principal peaks in the range 2θ from 5° to 70°, sorted by position:
| Position (°2θ) | d_spacing | I (rel.) | hkl |
| --- | --- | --- | --- |
| 23.58 | 3.773 | 43 | 0 0 1 |
| 33.35 | 2.687 | 100 | 1 0 1 |
| 40.85 | 2.209 | 79 | 1 1 0 |
| 47.70 | 1.906 | 40 | 1 1 1 |
| 53.72 | 1.706 | 25 | 2 0 1 |
| 65.01 | 1.435 | 38 | 1 1 2 |

No. 2
For Ta2CuRe2Se8, a DFT-relaxed cell (PBE, Alexandria) gives the computed powder XRD pattern in this record (copper Kα).
Kinematic intensities with the Lorentz-polarization factor, no thermal factor.

Structural model:
```
data_Ta2CuRe2Se8
_chemical_formula_sum 'Ta2 Cu1 Re2 Se8'
_cell_length_a 3.4438
_cell_length_b 3.4438
_cell_length_c 26.7403
_cell_angle_alpha 90.00
_cell_angle_beta 90.00
_cell_angle_gamma 120.00
_symmetry_space_group_name_H-M 'P 3 m 1'
_symmetry_Int_Tables_number 156
loop_
_symmetry_equiv_pos_as_xyz
'x,y,z'
'-y,x-y,z'
'-x+y,-x,z'
'-y,-x,z'
'-x+y,y,z'
'x,x-y,z'
loop_
_atom_site_label
_atom_site_type_symbol
_atom_site_fract_x
_atom_site_fract_y
_atom_site_fract_z
Ta1 Ta 0.0000 0.0000 0.0000
Ta2 Ta 0.0000 0.0000 0.4901
Cu1 Cu 0.0000 0.0000 0.8751
Re1 Re 0.0000 0.0000 0.2449
Re2 Re 0.0000 0.0000 0.7379
Se1 Se 0.3333 0.6667 0.1863
Se2 Se 0.3333 0.6667 0.3035
Se3 Se 0.3333 0.6667 0.6806
Se4 Se 0.3333 0.6667 0.8048
Se5 Se 0.6667 0.3333 0.0625
Se6 Se 0.6667 0.3333 0.4271
Se7 Se 0.6667 0.3333 0.5530
Se8 Se 0.6667 0.3333 0.9358
```

Principal peaks in the range 2θ from 5° to 70°, sorted by position:
| Position (°2θ) | d_spacing | I (rel.) | hkl |
| --- | --- | --- | --- |
| 13.24 | 6.685 | 91 | 0 0 4 |
| 30.72 | 2.911 | 28 | 1 0 2 |
| 32.88 | 2.724 | 60 | 0 1 4 |
| 40.54 | 2.225 | 100 | 0 1 8 |
| 53.19 | 1.722 | 38 | 1 1 0 |
| 68.95 | 1.362 | 26 | 2 0 8 |

> What is the formula in the first record?

CaAsHPd